Diffraction record for Cs2AlAgF6. The powder diffractogram is theoretical, not measured: it uses a DFT-relaxed cell (PBE, Alexandria) and a wavelength of 1.5418 Å.

Top 12 peaks for 10 to 80 degrees two-theta, sorted by position:
d = 4.081 Å, I = 100.0
d = 3.173 Å, I = 75.9
d = 2.665 Å, I = 41.6
d = 2.505 Å, I = 61.7
d = 2.041 Å, I = 36.0
d = 1.966 Å, I = 26.1
d = 1.832 Å, I = 13.7
d = 1.716 Å, I = 26.9
d = 1.711 Å, I = 14.6
d = 1.586 Å, I = 14.5
d = 1.479 Å, I = 14.1
d = 1.363 Å, I = 12.7

Structural model:
```
Cs2AlAgF6
1.0
6.3453 0.0000 0.0000
-3.1726 5.4952 0.0000
0.0000 0.0000 6.0956
Cs Al Ag F
2 1 1 6
direct
0.3333 0.6667 0.1940 Cs
0.6667 0.3333 0.8060 Cs
0.0000 0.0000 0.0000 Al
0.0000 0.0000 0.5000 Ag
0.1363 0.2726 0.8233 F
0.1363 0.8637 0.8233 F
0.2726 0.1363 0.1767 F
0.7274 0.8637 0.8233 F
0.8637 0.1363 0.1767 F
0.8637 0.7274 0.1767 F
```